Calculated XRD peak list of LaNiIO6 for CuKα, from a DFT-relaxed cell (GGA+U, Alexandria).
Peak positions follow from Bragg's law for the DFT cell and can differ from measured ones.

Structural model:
```
LaNiIO6
1.0
5.2523 0.0000 0.0000
-2.6262 4.5486 0.0000
0.0000 0.0000 5.1810
La Ni I O
1 1 1 6
Direct
0.0000 0.0000 0.0000
0.3333 0.6667 0.5000
0.6667 0.3333 0.5000
0.3798 0.0251 0.7102
0.3798 0.3548 0.2898
0.6452 0.0251 0.2898
0.6452 0.6202 0.7102
0.9749 0.3548 0.7102
0.9749 0.6202 0.2898
```

Top 10 peaks for 15 to 90 degrees two-theta, in order of rising 2θ:
26.1 deg, d 3.418, rel. 100; 34.1 deg, d 2.626, rel. 33; 43.5 deg, d 2.083, rel. 23; 49.4 deg, d 1.844, rel. 39; 56.4 deg, d 1.632, rel. 22; 57.0 deg, d 1.615, rel. 10; 61.1 deg, d 1.516, rel. 12; 77.9 deg, d 1.226, rel. 9; 78.5 deg, d 1.218, rel. 9; 82.3 deg, d 1.171, rel. 8